1.
Starting from a structure optimized by DFT (GGA-PBE), the XRD peak list of AcYS3 was computed for a wavelength of 1.5418 Å.
Kinematic intensities with the Lorentz-polarization factor, no thermal factor.

Crystal structure
abc: 8.2509 4.0984 14.9552
angles: 90.00 90.00 90.00
Space group Pnma (No. 62)
Unique sites:
Ac1 0.1296 0.2500 0.1954 [4 per cell]
Y1 0.1919 0.7500 0.4555 [4 per cell]
S1 0.0025 0.2500 0.3905 [4 per cell]
S2 0.1570 0.7500 0.0467 [4 per cell]
S3 0.1588 0.2500 0.7916 [4 per cell]

Largest 10 diffraction maxima, in order of rising 2θ, 2θ from 15° to 90°:
2theta, I/Imax
20.82, 38
22.35, 72
22.49, 44
24.98, 36
26.17, 40
31.82, 28
33.06, 100
38.84, 33
44.20, 24
49.35, 25

=====

2.
Starting from a structure optimized by DFT (GGA-PBE), the XRD peak list of K2AsAu2 was computed for a wavelength of 1.5418 Å.
Kinematic intensities with the Lorentz-polarization factor, no thermal factor.

Crystal structure
abc: 4.6925 5.5882 10.5487
angles: 90.00 90.00 90.00
Space group Immm (No. 71)
Unique sites:
K1 0.0000 0.0000 0.1999 [4 per cell]
As1 0.0000 0.5000 0.0000 [2 per cell]
Au1 0.0000 0.2552 0.5000 [4 per cell]

Largest 10 diffraction maxima, in order of rising 2θ, 2θ from 15° to 90°:
2theta, I/Imax
16.81, 95
20.72, 60
30.07, 20
31.80, 38
33.99, 27
36.39, 26
38.43, 100
42.15, 20
45.76, 32
58.22, 28